No. 1
Starting from a structure optimized by DFT (GGA-PBE), the XRD peak list of Pm3Er was calculated for Cu Kα X-rays.
No peak broadening, texture or thermal motion is included.

Principal peaks in the range 2θ from 10° to 90°, by angle:
index, two_theta, I/Imax
2 0 0, 28.14, 235
0 0 2, 30.59, 252
2 0 1, 32.11, 1000
2 0 2, 42.04, 160
2 2 0, 49.80, 196
2 0 3, 55.33, 214
2 2 2, 59.58, 229
4 0 1, 60.49, 164
4 2 1, 82.06, 138
2 2 4, 84.89, 85

Structure:
Cell: 7.3246 7.3246 5.8458 Å, 90.00 90.00 120.00°
Space group P6_3/mmc (No. 194)
Unique sites:
Pm 0.1672 0.3343 0.2500
Er 0.3333 0.6667 0.7500


No. 2
Starting from a structure optimized by DFT (GGA-PBE), the XRD peak list of Pm3Er was calculated for Cu Kα X-rays.
No peak broadening, texture or thermal motion is included.

Principal peaks in the range 2θ from 10° to 90°, by angle:
index, two_theta, I/Imax
1 1 1, 30.23, 1000
2 0 0, 35.04, 507
2 2 0, 50.40, 363
3 1 1, 59.90, 432
2 2 2, 62.86, 124
4 0 0, 74.05, 58
3 3 1, 82.01, 177
4 2 0, 84.63, 165

Structure:
Cell: 5.121 5.121 5.121 Å, 90.00 90.00 90.00°
Space group Pm-3m (No. 221)
Unique sites:
Pm 0.000 0.000 0.500
Er 0.500 0.500 0.500